Simulated powder XRD pattern
Compound: Er4Ni13C4
Radiation: λ = 1.5418 Å (Cu Kα)
Structure: a crystal structure in Alexandria, relaxed with GGA-PBE
Intensities are scaled so that the largest is 100.

Crystal structure
Lattice parameters (Å, degrees): 8.359 8.359 3.837 90.00 90.00 91.32
Fractional positions:
Er 0.187 0.813 0.000
Er 0.348 0.348 0.000
Er 0.652 0.652 0.000
Er 0.813 0.187 0.000
Ni 0.000 0.000 0.500
Ni 0.000 0.500 0.000
Ni 0.075 0.291 0.500
Ni 0.123 0.123 0.000
Ni 0.216 0.570 0.500
Ni 0.291 0.075 0.500
Ni 0.430 0.784 0.500
Ni 0.500 0.000 0.000
Ni 0.570 0.216 0.500
Ni 0.709 0.925 0.500
Ni 0.784 0.430 0.500
Ni 0.877 0.877 0.000
Ni 0.925 0.709 0.500
C 0.000 0.500 0.500
C 0.443 0.557 0.500
C 0.500 0.000 0.500
C 0.557 0.443 0.500

Top 10 peaks for 10 to 90 degrees two-theta, sorted by position:
2θ (°), Rel. int.
33.31, 77
33.64, 42
34.16, 30
38.17, 47
41.29, 21
41.69, 100
44.46, 40
44.97, 23
47.39, 45
67.00, 23



Simulated powder XRD pattern
Compound: Er8C3O
Radiation: λ = 1.5418 Å (Cu Kα)
Structure: a crystal structure in Alexandria, relaxed with GGA-PBE
Intensities are scaled so that the largest is 100.

Crystal structure
Lattice parameters (Å, degrees): 7.056 7.056 7.187 119.54 119.54 59.98
Fractional positions:
Er 0.239 0.745 0.727
Er 0.244 0.244 0.732
Er 0.255 0.761 0.273
Er 0.256 0.256 0.273
Er 0.744 0.744 0.727
Er 0.745 0.239 0.727
Er 0.756 0.756 0.268
Er 0.761 0.255 0.273
C 0.000 0.000 0.500
C 0.000 0.500 0.500
C 0.500 0.000 0.500
O 0.500 0.500 0.500

Top 10 peaks for 10 to 90 degrees two-theta, sorted by position:
2θ (°), Rel. int.
30.25, 33
30.96, 100
35.70, 78
50.95, 17
51.83, 28
61.17, 18
61.27, 9
61.61, 14
64.57, 9
84.64, 12



Simulated powder XRD pattern
Compound: Er3P2C
Radiation: λ = 1.5418 Å (Cu Kα)
Structure: a crystal structure in Alexandria, relaxed with GGA-PBE
Intensities are scaled so that the largest is 100.

Crystal structure
Lattice parameters (Å, degrees): 6.696 6.696 6.696 147.51 131.76 59.37
Fractional positions:
Er 0.000 0.000 0.000
Er 0.352 0.352 0.000
Er 0.648 0.648 0.000
P 0.172 0.672 0.500
P 0.828 0.328 0.500
C 0.500 0.000 0.500

Top 10 peaks for 10 to 90 degrees two-theta, sorted by position:
2θ (°), Rel. int.
28.20, 82
28.88, 85
32.74, 63
33.25, 100
47.35, 74
48.61, 18
56.02, 33
57.14, 24
59.83, 20
78.39, 17



Copy entry 2 word for word.
Simulated powder XRD pattern
Compound: Er8C3O
Radiation: λ = 1.5418 Å (Cu Kα)
Structure: a crystal structure in Alexandria, relaxed with GGA-PBE
Intensities are scaled so that the largest is 100.

Crystal structure
Lattice parameters (Å, degrees): 7.056 7.056 7.187 119.54 119.54 59.98
Fractional positions:
Er 0.239 0.745 0.727
Er 0.244 0.244 0.732
Er 0.255 0.761 0.273
Er 0.256 0.256 0.273
Er 0.744 0.744 0.727
Er 0.745 0.239 0.727
Er 0.756 0.756 0.268
Er 0.761 0.255 0.273
C 0.000 0.000 0.500
C 0.000 0.500 0.500
C 0.500 0.000 0.500
O 0.500 0.500 0.500

Top 10 peaks for 10 to 90 degrees two-theta, sorted by position:
2θ (°), Rel. int.
30.25, 33
30.96, 100
35.70, 78
50.95, 17
51.83, 28
61.17, 18
61.27, 9
61.61, 14
64.57, 9
84.64, 12